Theoretical X-ray diffraction stick pattern of K2MnAgSe4 for Cu Kα X-rays, from a structure optimized by DFT (GGA-PBE).

a = 13.4728 Å, b = 12.0591 Å, c = 7.3494 Å
α = 84.20°, β = 62.93°, γ = 32.87°
Atoms (fractional coordinates):
K  0.0582  0.0582  0.6918
K  0.3082  0.3082  0.9418
K  0.6918  0.6918  0.0582
K  0.9418  0.9418  0.3082
Mn  0.3750  0.3750  0.3750
Mn  0.6250  0.6250  0.6250
Ag  0.1250  0.1250  0.1250
Ag  0.8750  0.8750  0.8750
Se  0.0081  0.6224  0.5400
Se  0.3295  0.5400  0.6224
Se  0.3776  0.9919  0.6705
Se  0.4600  0.6705  0.9919
Se  0.5400  0.3295  0.0081
Se  0.6224  0.0081  0.3295
Se  0.6705  0.4600  0.3776
Se  0.9919  0.3776  0.4600

Largest 12 diffraction maxima, sorted by position, 10 to 80 degrees two-theta:
2θ/deg	I (rel.)
15.21	100
19.84	13
25.14	31
26.46	17
27.39	37
31.45	66
37.91	33
40.96	23
41.14	26
46.84	18
49.49	17
50.96	18